Entry 1:
Computed X-ray diffraction stick pattern of CePm2Si3Rh4 for Cu Kα, 1.54184 Å, from a DFT-relaxed cell (PBE, Alexandria).
Peak positions follow from Bragg's law for the DFT cell and can differ from measured ones.

Principal peaks in the range 10 to 90 degrees two-theta, in order of rising 2θ:
2θ = 26.98°, d 3.305, I 22
2θ = 32.96°, d 2.718, I 29
2θ = 34.52°, d 2.599, I 100
2θ = 39.99°, d 2.255, I 14
2θ = 43.01°, d 2.103, I 44
2θ = 47.75°, d 1.905, I 16
2θ = 55.23°, d 1.663, I 13
2θ = 62.45°, d 1.487, I 14
2θ = 66.19°, d 1.412, I 12
2θ = 73.35°, d 1.291, I 22

Structure:
```
CePm2Si3Rh4
1.0
4.2064 0.0000 0.0000
0.0000 4.2064 0.0000
0.0000 0.0000 10.6822
Ce Pm Si Rh
1 2 3 4
direct
0.0000 0.0000 0.0000
0.0000 0.5000 0.7268
0.5000 0.0000 0.2732
0.0000 0.5000 0.3810
0.5000 0.0000 0.6190
0.5000 0.5000 0.0000
0.0000 0.0000 0.5000
0.0000 0.5000 0.1550
0.5000 0.0000 0.8450
0.5000 0.5000 0.5000
```



Entry 2:
Computed X-ray diffraction stick pattern of Ce5PmRu3 for Cu Kα, 1.54184 Å, from a DFT-relaxed cell (PBE, Alexandria).
Peak positions follow from Bragg's law for the DFT cell and can differ from measured ones.

Principal peaks in the range 10 to 90 degrees two-theta, in order of rising 2θ:
2θ = 19.05°, d 4.658, I 36
2θ = 19.75°, d 4.496, I 37
2θ = 28.58°, d 3.123, I 53
2θ = 28.74°, d 3.106, I 48
2θ = 29.14°, d 3.064, I 100
2θ = 30.45°, d 2.935, I 37
2θ = 38.16°, d 2.358, I 45
2θ = 43.20°, d 2.094, I 38
2θ = 47.34°, d 1.920, I 44
2θ = 47.49°, d 1.914, I 45

Structure:
```
Ce5PmRu3
1.0
6.2470 -4.4959 0.0000
6.2470 4.4959 0.0000
-4.1226 0.0000 9.3692
Ce Pm Ru
10 2 6
direct
0.0772 0.0772 0.3730
0.1427 0.5394 0.3309
0.2010 0.7990 0.0000
0.2679 0.2679 0.9694
0.4606 0.8573 0.6691
0.5394 0.1427 0.3309
0.7321 0.7321 0.0306
0.7990 0.2010 0.0000
0.8573 0.4606 0.6691
0.9228 0.9228 0.6270
0.3878 0.3878 0.6946
0.6122 0.6122 0.3054
0.1480 0.1480 0.6755
0.1694 0.1694 0.1666
0.5000 0.5000 0.0000
0.5000 0.5000 0.5000
0.8306 0.8306 0.8334
0.8520 0.8520 0.3245
```



Entry 3:
Computed X-ray diffraction stick pattern of Ce3PmRu for Cu Kα, 1.54184 Å, from a DFT-relaxed cell (PBE, Alexandria).
Peak positions follow from Bragg's law for the DFT cell and can differ from measured ones.

Principal peaks in the range 10 to 90 degrees two-theta, in order of rising 2θ:
2θ = 28.54°, d 3.127, I 15
2θ = 29.05°, d 3.074, I 45
2θ = 31.46°, d 2.844, I 62
2θ = 31.64°, d 2.827, I 100
2θ = 32.02°, d 2.795, I 41
2θ = 37.73°, d 2.384, I 17
2θ = 40.65°, d 2.220, I 23
2θ = 41.11°, d 2.196, I 29
2θ = 53.03°, d 1.727, I 14
2θ = 53.15°, d 1.723, I 22

Structure:
```
Ce3PmRu
1.0
6.4161 0.0000 0.0000
0.0000 6.1474 0.0000
-0.1237 0.0000 7.2651
Ce Pm Ru
6 2 2
direct
0.1033 0.0000 0.1980
0.2891 0.5190 0.9786
0.3109 0.5226 0.5050
0.6891 0.0226 0.4950
0.7109 0.0190 0.0214
0.8967 0.5000 0.8020
0.1752 0.0120 0.7095
0.8248 0.5120 0.2905
0.4331 0.2589 0.2628
0.5669 0.7589 0.7372
```



Entry 4:
Computed X-ray diffraction stick pattern of Ce5Pm2Ru3 for Cu Kα, 1.54184 Å, from a DFT-relaxed cell (PBE, Alexandria).
Peak positions follow from Bragg's law for the DFT cell and can differ from measured ones.

Principal peaks in the range 10 to 90 degrees two-theta, in order of rising 2θ:
2θ = 29.41°, d 3.037, I 64
2θ = 29.73°, d 3.005, I 100
2θ = 31.32°, d 2.856, I 55
2θ = 33.56°, d 2.671, I 52
2θ = 35.17°, d 2.552, I 90
2θ = 35.34°, d 2.540, I 94
2θ = 36.42°, d 2.467, I 93
2θ = 41.12°, d 2.195, I 57
2θ = 54.08°, d 1.696, I 56
2θ = 59.96°, d 1.543, I 41

Structure:
```
Ce5Pm2Ru3
1.0
5.9247 -7.4547 0.0000
5.9247 7.4547 0.0000
-2.4909 0.0000 5.7207
Ce Pm Ru
10 4 6
direct
0.0192 0.9808 0.7500
0.2258 0.5415 0.4762
0.2381 0.3449 0.8872
0.3449 0.2381 0.3872
0.4585 0.7742 0.0238
0.5415 0.2258 0.9762
0.6551 0.7619 0.6128
0.7619 0.6551 0.1128
0.7742 0.4585 0.5238
0.9808 0.0192 0.2500
0.0873 0.6781 0.9466
0.3219 0.9127 0.5534
0.6781 0.0873 0.4466
0.9127 0.3219 0.0534
0.0065 0.3076 0.5916
0.3076 0.0065 0.0916
0.4962 0.5038 0.7500
0.5038 0.4962 0.2500
0.6924 0.9935 0.9084
0.9935 0.6924 0.4084
```



Repeat the first record exactly.
Computed X-ray diffraction stick pattern of CePm2Si3Rh4 for Cu Kα, 1.54184 Å, from a DFT-relaxed cell (PBE, Alexandria).
Peak positions follow from Bragg's law for the DFT cell and can differ from measured ones.

Principal peaks in the range 10 to 90 degrees two-theta, in order of rising 2θ:
2θ = 26.98°, d 3.305, I 22
2θ = 32.96°, d 2.718, I 29
2θ = 34.52°, d 2.599, I 100
2θ = 39.99°, d 2.255, I 14
2θ = 43.01°, d 2.103, I 44
2θ = 47.75°, d 1.905, I 16
2θ = 55.23°, d 1.663, I 13
2θ = 62.45°, d 1.487, I 14
2θ = 66.19°, d 1.412, I 12
2θ = 73.35°, d 1.291, I 22

Structure:
```
CePm2Si3Rh4
1.0
4.2064 0.0000 0.0000
0.0000 4.2064 0.0000
0.0000 0.0000 10.6822
Ce Pm Si Rh
1 2 3 4
direct
0.0000 0.0000 0.0000
0.0000 0.5000 0.7268
0.5000 0.0000 0.2732
0.0000 0.5000 0.3810
0.5000 0.0000 0.6190
0.5000 0.5000 0.0000
0.0000 0.0000 0.5000
0.0000 0.5000 0.1550
0.5000 0.0000 0.8450
0.5000 0.5000 0.5000
```